1.
This entry pairs a crystal structure of HRh3Pb with its computed powder XRD pattern. Radiation: Cu Ka. Structure: a DFT-relaxed cell (PBE, Alexandria).
Kinematic intensities with the Lorentz-polarization factor, no thermal factor.

Crystal structure
Unit cell a=5.792 b=5.792 c=5.792 alpha=59.84 beta=59.84 gamma=59.84
Fractional coordinates of all 10 atoms:
H 0.056 0.056 0.056
H 0.944 0.944 0.944
Rh 0.257 0.257 0.743
Rh 0.257 0.743 0.257
Rh 0.257 0.743 0.743
Rh 0.743 0.257 0.257
Rh 0.743 0.257 0.743
Rh 0.743 0.743 0.257
Pb 0.252 0.252 0.252
Pb 0.748 0.748 0.748

Most intense lines, 2θ = 10–80°, by angle:
d = 4.091 Å, 2θ = 21.73°, I = 13; d = 2.892 Å, 2θ = 30.92°, I = 13; d = 2.367 Å, 2θ = 38.01°, I = 34; d = 2.360 Å, 2θ = 38.14°, I = 100; d = 2.045 Å, 2θ = 44.29°, I = 66; d = 1.669 Å, 2θ = 55.03°, I = 4; d = 1.448 Å, 2θ = 64.34°, I = 21; d = 1.445 Å, 2θ = 64.51°, I = 21; d = 1.235 Å, 2θ = 77.23°, I = 13; d = 1.233 Å, 2θ = 77.42°, I = 38

2.
This entry pairs a crystal structure of Ce2PmAu4 with its computed powder XRD pattern. Radiation: Cu Ka. Structure: a DFT-relaxed cell (PBE, Alexandria).
Kinematic intensities with the Lorentz-polarization factor, no thermal factor.

Crystal structure
Unit cell a=5.354 b=5.354 c=13.027 alpha=90.00 beta=90.00 gamma=90.00
Fractional coordinates of all 14 atoms:
Ce 0.000 0.000 0.220
Ce 0.000 0.000 0.780
Ce 0.500 0.500 0.280
Ce 0.500 0.500 0.720
Pm 0.000 0.000 0.500
Pm 0.500 0.500 0.000
Au 0.000 0.500 0.119
Au 0.000 0.500 0.381
Au 0.000 0.500 0.619
Au 0.000 0.500 0.881
Au 0.500 0.000 0.119
Au 0.500 0.000 0.381
Au 0.500 0.000 0.619
Au 0.500 0.000 0.881

Most intense lines, 2θ = 10–80°, by angle:
d = 3.786 Å, 2θ = 23.50°, I = 15; d = 3.373 Å, 2θ = 26.43°, I = 16; d = 2.677 Å, 2θ = 33.47°, I = 72; d = 2.469 Å, 2θ = 36.39°, I = 100; d = 2.097 Å, 2θ = 43.14°, I = 9; d = 2.068 Å, 2θ = 43.77°, I = 9; d = 1.893 Å, 2θ = 48.06°, I = 26; d = 1.502 Å, 2θ = 61.75°, I = 44; d = 1.391 Å, 2θ = 67.30°, I = 11; d = 1.339 Å, 2θ = 70.33°, I = 9

3.
This entry pairs a crystal structure of MgPaGaRe with its computed powder XRD pattern. Radiation: Cu Ka. Structure: a DFT-relaxed cell (PBE, Alexandria).
Kinematic intensities with the Lorentz-polarization factor, no thermal factor.

Crystal structure
Unit cell a=6.757 b=6.757 c=6.757 alpha=90.00 beta=90.00 gamma=90.00
Fractional coordinates of all 16 atoms:
Mg 0.000 0.000 0.000
Mg 0.000 0.500 0.500
Mg 0.500 0.000 0.500
Mg 0.500 0.500 0.000
Pa 0.000 0.000 0.500
Pa 0.000 0.500 0.000
Pa 0.500 0.000 0.000
Pa 0.500 0.500 0.500
Ga 0.250 0.250 0.750
Ga 0.250 0.750 0.250
Ga 0.750 0.250 0.250
Ga 0.750 0.750 0.750
Re 0.250 0.250 0.250
Re 0.250 0.750 0.750
Re 0.750 0.250 0.750
Re 0.750 0.750 0.250

Most intense lines, 2θ = 10–80°, by angle:
d = 3.901 Å, 2θ = 22.80°, I = 47; d = 2.389 Å, 2θ = 37.66°, I = 100; d = 2.037 Å, 2θ = 44.47°, I = 26; d = 1.689 Å, 2θ = 54.31°, I = 18; d = 1.550 Å, 2θ = 59.65°, I = 11; d = 1.379 Å, 2θ = 67.97°, I = 36; d = 1.300 Å, 2θ = 72.72°, I = 8

4.
This entry pairs a crystal structure of Al5CuTc with its computed powder XRD pattern. Radiation: Cu Ka. Structure: a DFT-relaxed cell (PBE, Alexandria).
Kinematic intensities with the Lorentz-polarization factor, no thermal factor.

Crystal structure
Unit cell a=6.794 b=9.377 c=4.630 alpha=90.00 beta=90.00 gamma=90.00
Fractional coordinates of all 14 atoms:
Al 0.000 0.000 0.000
Al 0.000 0.249 0.458
Al 0.000 0.751 0.458
Al 0.178 0.500 0.844
Al 0.322 0.000 0.344
Al 0.500 0.251 0.958
Al 0.500 0.500 0.500
Al 0.500 0.749 0.958
Al 0.678 0.000 0.344
Al 0.822 0.500 0.844
Cu 0.000 0.000 0.513
Cu 0.500 0.500 0.013
Tc 0.000 0.500 0.352
Tc 0.500 0.000 0.852

Most intense lines, 2θ = 10–80°, by angle:
d = 4.689 Å, 2θ = 18.93°, I = 100; d = 3.826 Å, 2θ = 23.25°, I = 77; d = 3.397 Å, 2θ = 26.23°, I = 55; d = 2.629 Å, 2θ = 34.10°, I = 33; d = 2.344 Å, 2θ = 38.40°, I = 38; d = 2.134 Å, 2θ = 42.36°, I = 42; d = 2.034 Å, 2θ = 44.54°, I = 27; d = 1.999 Å, 2θ = 45.37°, I = 25; d = 1.794 Å, 2θ = 50.89°, I = 24; d = 1.537 Å, 2θ = 60.23°, I = 22

5.
This entry pairs a crystal structure of DyPd4 with its computed powder XRD pattern. Radiation: Cu Ka. Structure: a DFT-relaxed cell (PBE, Alexandria).
Kinematic intensities with the Lorentz-polarization factor, no thermal factor.

Crystal structure
Unit cell a=7.817 b=7.817 c=7.817 alpha=147.46 beta=137.10 gamma=54.87
Fractional coordinates of all 10 atoms:
Dy 0.356 0.106 0.250
Dy 0.644 0.894 0.750
Pd 0.000 0.500 0.500
Pd 0.142 0.892 0.250
Pd 0.186 0.696 0.490
Pd 0.294 0.304 0.990
Pd 0.500 0.500 0.000
Pd 0.706 0.696 0.010
Pd 0.814 0.304 0.510
Pd 0.858 0.108 0.750

Most intense lines, 2θ = 10–80°, by angle:
d = 2.359 Å, 2θ = 38.15°, I = 91; d = 2.344 Å, 2θ = 38.40°, I = 100; d = 2.206 Å, 2θ = 40.91°, I = 38; d = 2.190 Å, 2θ = 41.22°, I = 42; d = 2.126 Å, 2θ = 42.52°, I = 16; d = 1.798 Å, 2θ = 50.78°, I = 18; d = 1.554 Å, 2θ = 59.47°, I = 25; d = 1.390 Å, 2θ = 67.39°, I = 15; d = 1.295 Å, 2θ = 73.04°, I = 26; d = 1.220 Å, 2θ = 78.35°, I = 24

6.
This entry pairs a crystal structure of Tl2In12Hg5 with its computed powder XRD pattern. Radiation: Cu Ka. Structure: a DFT-relaxed cell (PBE, Alexandria).
Kinematic intensities with the Lorentz-polarization factor, no thermal factor.

Crystal structure
Unit cell a=9.238 b=9.238 c=7.085 alpha=93.46 beta=93.46 gamma=60.72
Fractional coordinates of all 19 atoms:
Tl 0.193 0.807 0.000
Tl 0.807 0.193 0.000
In 0.047 0.558 0.799
In 0.165 0.627 0.410
In 0.166 0.166 0.880
In 0.373 0.835 0.590
In 0.442 0.953 0.201
In 0.455 0.455 0.728
In 0.545 0.545 0.272
In 0.558 0.047 0.799
In 0.627 0.165 0.410
In 0.834 0.834 0.120
In 0.835 0.373 0.590
In 0.953 0.442 0.201
Hg 0.000 0.000 0.500
Hg 0.240 0.240 0.487
Hg 0.355 0.355 0.093
Hg 0.645 0.645 0.907
Hg 0.760 0.760 0.513

Most intense lines, 2θ = 10–80°, by angle:
d = 2.818 Å, 2θ = 31.76°, I = 14; d = 2.731 Å, 2θ = 32.80°, I = 100; d = 2.704 Å, 2θ = 33.13°, I = 68; d = 2.541 Å, 2θ = 35.33°, I = 32; d = 2.334 Å, 2θ = 38.57°, I = 25; d = 2.217 Å, 2θ = 40.70°, I = 21; d = 1.719 Å, 2θ = 53.29°, I = 13; d = 1.658 Å, 2θ = 55.41°, I = 15; d = 1.492 Å, 2θ = 62.23°, I = 14; d = 1.353 Å, 2θ = 69.48°, I = 13